Structure and computed X-ray diffraction stick pattern of KLiMg2Hg5 (a cell relaxed with GGA-PBE; a wavelength of 1.5418 Å).
Intensities are scaled so that the largest is 100.

Structural model:
Cell: 8.339 8.339 8.339 Å, 144.44 129.90 62.93°
Atoms (fractional coordinates):
K 0.000 0.000 0.000
Li 0.500 0.500 0.000
Mg 0.307 0.807 0.500
Mg 0.693 0.193 0.500
Hg 0.109 0.337 0.772
Hg 0.434 0.663 0.772
Hg 0.500 0.000 0.500
Hg 0.566 0.337 0.228
Hg 0.891 0.663 0.228

The 10 most intense peaks (15° ≤ 2θ ≤ 90°), by angle:
| d (Å) | intensity |
| --- | --- |
| 3.470 | 100.0 |
| 3.163 | 25.4 |
| 2.843 | 53.1 |
| 2.546 | 27.6 |
| 2.506 | 21.7 |
| 2.475 | 28.4 |
| 2.371 | 21.3 |
| 2.032 | 16.3 |
| 1.735 | 16.6 |
| 1.573 | 16.4 |